1.
Diffraction record for InBi3. The powder X-ray diffraction pattern is simulated, not measured: it uses a GGA-PBE-relaxed structure and Cu Kα.
Lines closer than 0.1° are merged.

Unit cell a=3.3325 b=8.9129 c=8.7479 alpha=90.00 beta=90.00 gamma=90.00
Space group C222 (No. 21)
Asymmetric unit:
In  0.0000  0.0000  0.0000 x2
Bi  0.0000  0.5000  0.5000 x2
Bi  0.2500  0.2500  0.2424 x4

Most intense lines, 2θ from 10° to 90°, in order of rising 2θ:
- d 3.122, 2θ 28.60, rel. 100, (0 2 2)
- d 2.940, 2θ 30.40, rel. 86, (1 1 1)
- d 2.228, 2θ 40.48, rel. 20, (0 4 0)
- d 2.187, 2θ 41.28, rel. 18, (0 0 4)
- d 2.150, 2θ 42.03, rel. 36, (1 3 1)
- d 2.131, 2θ 42.42, rel. 35, (1 1 3)
- d 1.765, 2θ 51.79, rel. 20, (1 3 3)
- d 1.561, 2θ 59.20, rel. 26, (2 2 0)
- d 1.557, 2θ 59.35, rel. 14, (2 0 2)
- d 1.276, 2θ 74.31, rel. 14, (2 4 2)

***

2.
Diffraction record for PaAl10Cu2. The powder X-ray diffraction pattern is simulated, not measured: it uses a GGA-PBE-relaxed structure and Cu Kα.
Lines closer than 0.1° are merged.

Unit cell a=5.2021 b=12.3881 c=13.2425 alpha=90.00 beta=90.00 gamma=90.00
Space group Fmmm (No. 69)
Asymmetric unit:
Pa  0.0000  0.0000  0.0000 x4
Al  0.0000  0.1062  0.3863 x16
Al  0.0000  0.1716  0.1788 x16
Al  0.2500  0.2500  0.0000 x8
Cu  0.2500  0.0000  0.2500 x8

Most intense lines, 2θ from 10° to 90°, in order of rising 2θ:
- d 6.194, 2θ 14.30, rel. 100, (0 2 0)
- d 4.511, 2θ 19.68, rel. 94, (1 1 1)
- d 3.248, 2θ 27.46, rel. 60, (1 1 3)
- d 3.142, 2θ 28.41, rel. 51, (1 3 1)
- d 2.920, 2θ 30.62, rel. 42, (0 2 4)
- d 2.609, 2θ 34.37, rel. 64, (1 3 3)
- d 2.319, 2θ 38.84, rel. 58, (1 1 5)
- d 2.262, 2θ 39.86, rel. 62, (0 4 4)
- d 2.255, 2θ 39.98, rel. 96, (2 2 2)
- d 2.206, 2θ 40.91, rel. 52, (1 5 1)

***

3.
Diffraction record for K3Sc5. The powder X-ray diffraction pattern is simulated, not measured: it uses a GGA-PBE-relaxed structure and Cu Kα.
Lines closer than 0.1° are merged.

Unit cell a=11.9659 b=11.9659 c=5.4284 alpha=90.00 beta=90.00 gamma=120.00
Space group P6_3/mcm (No. 193)
Asymmetric unit:
K  0.0000  0.3784  0.2500 x6
Sc  0.0000  0.1487  0.7500 x6
Sc  0.3333  0.6667  0.0000 x4

Most intense lines, 2θ from 10° to 90°, in order of rising 2θ:
- d 5.983, 2θ 14.81, rel. 45, (1 1 0)
- d 4.020, 2θ 22.11, rel. 30, (1 1 1)
- d 3.917, 2θ 22.70, rel. 33, (2 1 0)
- d 3.454, 2θ 25.79, rel. 45, (3 0 0)
- d 3.176, 2θ 28.09, rel. 78, (2 1 1)
- d 2.874, 2θ 31.12, rel. 51, (3 1 0)
- d 2.622, 2θ 34.20, rel. 100, (2 2 1)
- d 2.010, 2θ 45.10, rel. 30, (2 2 2)
- d 1.842, 2θ 49.48, rel. 21, (4 2 1)
- d 1.737, 2θ 52.68, rel. 20, (4 1 2)

***

4.
Diffraction record for IrRh2. The powder X-ray diffraction pattern is simulated, not measured: it uses a GGA-PBE-relaxed structure and Cu Kα.
Lines closer than 0.1° are merged.

Unit cell a=5.4504 b=3.8419 c=8.1880 alpha=90.00 beta=90.00 gamma=90.00
Space group Pnma (No. 62)
Asymmetric unit:
Ir  0.1241  0.2500  0.0809 x4
Rh  0.1251  0.2500  0.4157 x4
Rh  0.1256  0.2500  0.7522 x4

Most intense lines, 2θ from 10° to 90°, in order of rising 2θ:
- d 4.537, 2θ 19.57, rel. 5, (1 0 1)
- d 2.224, 2θ 40.57, rel. 100, (2 1 0)
- d 1.928, 2θ 47.13, rel. 32, (2 0 3)
- d 1.921, 2θ 47.32, rel. 16, (0 2 0)
- d 1.365, 2θ 68.79, rel. 5, (0 0 6)
- d 1.361, 2θ 68.99, rel. 26, (4 0 0)
- d 1.162, 2θ 83.08, rel. 25, (4 1 3)
- d 1.159, 2θ 83.37, rel. 13, (2 3 0)
- d 1.113, 2θ 87.73, rel. 6, (0 2 6)
- d 1.111, 2θ 87.84, rel. 6, (4 2 0)